For YMg2, a cell relaxed with GGA-PBE gives the theoretical PXRD pattern in this record (Cu Kα X-rays).

Structural model:
Cell lengths 5.4505, 3.3833, 17.4936 Å; angles 90.00, 90.00, 90.00 degrees
Space group Amm2 (No. 38)
Asymmetric unit:
Y  0.0000  0.0000  0.0000 x2
Y  0.0000  0.0000  0.3246 x2
Mg  0.0000  0.0000  0.6640 x2
Mg  0.5000  0.0000  0.1101 x2
Mg  0.5000  0.0000  0.4390 x2
Mg  0.5000  0.0000  0.7738 x2

Principal peaks in the range 2θ = 10–90°, in order of rising 2θ:
- 8.747 Å, 10.1°, intensity 22, hkl 0 0 2
- 5.451 Å, 16.3°, intensity 43, hkl 1 0 0
- 2.926 Å, 30.5°, intensity 36, hkl 0 1 3
- 2.725 Å, 32.9°, intensity 37, hkl 2 0 0
- 2.578 Å, 34.8°, intensity 100, hkl 1 1 3
- 2.571 Å, 34.9°, intensity 48, hkl 1 0 6
- 1.993 Å, 45.5°, intensity 35, hkl 2 0 6
- 1.543 Å, 59.9°, intensity 29, hkl 3 1 3

=====

For YGa3Ru, a cell relaxed with GGA-PBE gives the theoretical PXRD pattern in this record (Cu Kα X-rays).

Structural model:
Cell lengths 6.4635, 6.4635, 6.4635 Å; angles 90.00, 90.00, 90.00 degrees
Space group Pm-3m (No. 221)
Asymmetric unit:
Y  0.0000  0.0000  0.5000 x3
Ga  0.0000  0.0000  0.0000 x1
Ga  0.2912  0.2912  0.2912 x8
Ru  0.0000  0.5000  0.5000 x3

Principal peaks in the range 2θ = 10–90°, in order of rising 2θ:
- 2.891 Å, 30.9°, intensity 12, hkl 2 1 0
- 2.285 Å, 39.4°, intensity 100, hkl 2 2 0
- 2.155 Å, 41.9°, intensity 8, hkl 3 0 0
- 1.793 Å, 50.9°, intensity 7, hkl 3 2 0
- 1.616 Å, 57.0°, intensity 12, hkl 4 0 0
- 1.568 Å, 58.9°, intensity 7, hkl 3 2 2
- 1.319 Å, 71.5°, intensity 21, hkl 4 2 2
- 1.200 Å, 79.9°, intensity 7, hkl 5 2 0

=====

For Ba10Pr5Nb4SnO30, a cell relaxed with GGA-PBE gives the theoretical PXRD pattern in this record (Cu Kα X-rays).

Structural model:
Cell lengths 8.7448, 10.6747, 10.6813 Å; angles 80.31, 66.04, 66.01 degrees
Space group P-1 (No. 2)
Asymmetric unit:
Ba  0.0509  0.2979  0.0985 x2
Ba  0.1470  0.9010  0.2989 x2
Ba  0.2518  0.4996  0.4993 x2
Ba  0.3461  0.1005  0.7024 x2
Ba  0.4491  0.7013  0.8993 x2
Pr  0.1006  0.5992  0.1998 x2
Pr  0.3002  0.8005  0.5993 x2
Pr  0.5000  0.0000  0.0000 x1
Nb  0.1997  0.2003  0.4000 x2
Nb  0.4000  0.4000  0.8000 x2
Sn  0.0000  0.0000  0.0000 x1
O  0.0246  0.8225  0.5886 x2
O  0.0681  0.2706  0.5954 x2
O  0.0904  0.7994  0.0733 x2
O  0.1098  0.3946  0.3305 x2
O  0.1364  0.9274  0.7988 x2
O  0.1762  0.3781  0.8093 x2
O  0.2309  0.0232  0.9890 x2
O  0.2690  0.4691  0.9952 x2
O  0.2897  0.0057  0.4697 x2
O  0.3111  0.5945  0.7287 x2
O  0.3306  0.1311  0.2048 x2
O  0.3764  0.5760  0.2112 x2
O  0.4228  0.2241  0.3905 x2
O  0.4690  0.6687  0.3957 x2
O  0.4894  0.2056  0.8694 x2

Principal peaks in the range 2θ = 10–90°, in order of rising 2θ:
- 3.099 Å, 28.8°, intensity 19, hkl 2 0 -1
- 3.085 Å, 28.9°, intensity 100, hkl 2 3 0
- 2.186 Å, 41.3°, intensity 23, hkl 4 2 2
- 2.178 Å, 41.5°, intensity 11, hkl 0 4 -2
- 1.785 Å, 51.2°, intensity 13, hkl 2 -4 1
- 1.780 Å, 51.3°, intensity 29, hkl 2 6 1
- 1.542 Å, 60.0°, intensity 11, hkl 4 4 6
- 1.166 Å, 82.8°, intensity 11, hkl 4 7 -3

=====

For MnB4W3, a cell relaxed with GGA-PBE gives the theoretical PXRD pattern in this record (Cu Kα X-rays).

Structural model:
Cell lengths 3.0335, 3.1682, 8.3211 Å; angles 90.00, 90.00, 90.00 degrees
Space group Pmm2 (No. 25)
Asymmetric unit:
Mn  0.0000  0.0000  0.0000 x1
B  0.0000  0.0000  0.2953 x1
B  0.0000  0.5000  0.8213 x1
B  0.5000  0.0000  0.4230 x1
B  0.5000  0.5000  0.9398 x1
W  0.0000  0.5000  0.5146 x1
W  0.5000  0.0000  0.7284 x1
W  0.5000  0.5000  0.2165 x1

Principal peaks in the range 2θ = 10–90°, in order of rising 2θ:
- 8.321 Å, 10.6°, intensity 33, hkl 0 0 1
- 2.961 Å, 30.2°, intensity 66, hkl 0 1 1
- 2.451 Å, 36.7°, intensity 100, hkl 1 0 2
- 2.119 Å, 42.7°, intensity 100, hkl 1 1 1
- 2.087 Å, 43.4°, intensity 62, hkl 0 1 3
- 2.080 Å, 43.5°, intensity 27, hkl 0 0 4
- 1.330 Å, 70.8°, intensity 31, hkl 1 2 2
- 1.325 Å, 71.1°, intensity 29, hkl 1 1 5

=====

For TiH20C8N2F6, a cell relaxed with GGA-PBE gives the theoretical PXRD pattern in this record (Cu Kα X-rays).

Structural model:
Cell lengths 7.9542, 7.9592, 8.0019 Å; angles 118.93, 119.41, 90.20 degrees
Space group P1 (No. 1)
Asymmetric unit:
Ti  0.0000  0.0000  0.0000 x1
H  0.0105  0.2094  0.4812 x1
H  0.0401  0.2324  0.7319 x1
H  0.0638  0.4532  0.7229 x1
H  0.2171  0.4752  0.2181 x1
H  0.2290  0.6910  0.1979 x1
H  0.3057  0.0317  0.5330 x1
H  0.3302  0.0499  0.7782 x1
H  0.4583  0.6713  0.3994 x1
H  0.4767  0.0129  0.2678 x1
H  0.4959  0.7170  0.7312 x1
H  0.5261  0.9968  0.7245 x1
H  0.5536  0.3288  0.6072 x1
H  0.6834  0.9564  0.2279 x1
H  0.6905  0.9798  0.4679 x1
H  0.7373  0.2442  0.2449 x1
H  0.7786  0.3032  0.8063 x1
H  0.7958  0.5248  0.7981 x1
H  0.9494  0.5518  0.2764 x1
H  0.9742  0.7783  0.2781 x1
H  0.9967  0.7910  0.5208 x1
C  0.0240  0.7156  0.3844 x1
C  0.2926  0.6370  0.3126 x1
C  0.3277  0.6686  0.6356 x1
C  0.3627  0.9757  0.6458 x1
C  0.6400  0.0318  0.3505 x1
C  0.6543  0.2896  0.3310 x1
C  0.7191  0.3624  0.6968 x1
C  0.9877  0.2904  0.6213 x1
N  0.2499  0.7511  0.4972 x1
N  0.7635  0.2602  0.5152 x1
F  0.1086  0.7830  0.9564 x1
F  0.1567  0.1099  0.9403 x1
F  0.2084  0.1461  0.3196 x1
F  0.7863  0.8523  0.6771 x1
F  0.8264  0.8843  0.0455 x1
F  0.8886  0.2172  0.0528 x1

Principal peaks in the range 2θ = 10–90°, in order of rising 2θ:
- 6.592 Å, 13.4°, intensity 100, hkl 0 1 0
- 6.526 Å, 13.6°, intensity 80, hkl 1 0 -1
- 4.057 Å, 21.9°, intensity 31, hkl -1 1 1
- 4.023 Å, 22.1°, intensity 18, hkl 1 -1 1
- 3.999 Å, 22.2°, intensity 18, hkl 1 1 -2
- 3.978 Å, 22.3°, intensity 33, hkl 0 2 -1
- 3.412 Å, 26.1°, intensity 18, hkl 1 -2 0
- 3.383 Å, 26.3°, intensity 9, hkl 2 1 -2